(1)
This entry pairs a crystal structure of Sm4CdAg3 with its simulated powder X-ray diffraction pattern. Radiation: Cu Kα. Structure: a GGA-PBE-relaxed structure.

The 6 most intense peaks (10° ≤ 2θ ≤ 90°), by intensity:
- hkl 1 1 2, 33.93 deg, I 100
- hkl 2 2 0, 60.66 deg, I 18
- hkl 2 0 4, 60.76 deg, I 18
- hkl 2 0 0, 48.74 deg, I 18
- hkl 2 2 4, 71.43 deg, I 9
- hkl 0 4 4, 81.40 deg, I 8

Cell and atoms:
abc: 3.7345 5.2933 10.5579
angles: 90.00 90.00 90.00
Space group Pmmm (No. 47)
Symmetry-distinct sites (fractional):
Sm (0.0000, 0.0000, 0.0000)
Sm (0.0000, 0.0000, 0.5000)
Sm (0.0000, 0.5000, 0.2441)
Cd (0.5000, 0.5000, 0.5000)
Ag (0.5000, 0.0000, 0.2530)
Ag (0.5000, 0.5000, 0.0000)


(2)
This entry pairs a crystal structure of NdGa6Ni6 with its simulated powder X-ray diffraction pattern. Radiation: Cu Kα. Structure: a GGA-PBE-relaxed structure.

The 6 most intense peaks (10° ≤ 2θ ≤ 90°), by intensity:
- hkl 2 2 0, 41.81 deg, I 100
- hkl 2 0 0, 35.59 deg, I 61
- hkl 0 0 4, 41.32 deg, I 61
- hkl 2 2 2, 46.92 deg, I 54
- hkl 1 3 2, 42.41 deg, I 35
- hkl 0 4 0, 43.25 deg, I 31

Cell and atoms:
abc: 5.0400 8.3681 8.7502
angles: 90.00 90.00 90.00
Space group Immm (No. 71)
Symmetry-distinct sites (fractional):
Nd (0.0000, 0.0000, 0.0000)
Ga (0.0000, 0.0000, 0.3470)
Ga (0.0000, 0.3444, 0.0000)
Ga (0.0000, 0.5000, 0.3095)
Ni (0.0000, 0.2602, 0.5000)
Ni (0.2500, 0.2500, 0.2500)


(3)
This entry pairs a crystal structure of Be9Nb2Tc with its simulated powder X-ray diffraction pattern. Radiation: Cu Kα. Structure: a GGA-PBE-relaxed structure.

The 6 most intense peaks (10° ≤ 2θ ≤ 90°), by intensity:
- hkl 1 0 1, 23.28 deg, I 100
- hkl 1 0 7, 37.95 deg, I 60
- hkl 1 1 0, 40.19 deg, I 54
- hkl 1 1 6, 48.22 deg, I 41
- hkl 0 1 8, 41.59 deg, I 32
- hkl 0 0 6, 25.51 deg, I 25

Cell and atoms:
abc: 4.4871 4.4871 20.9474
angles: 90.00 90.00 120.00
Space group R-3m (No. 166, hexagonal axes)
Symmetry-distinct sites (fractional):
Be (0.0000, 0.0000, 0.0000)
Be (0.0000, 0.0000, 0.1656)
Be (0.0029, 0.5014, 0.4199)
Nb (0.0000, 0.0000, 0.3587)
Tc (0.0000, 0.0000, 0.5000)